Starting from a PBE+U-relaxed structure, the powder X-ray diffraction pattern of PuMgMoO6 was simulated for copper Kα.
No peak broadening, texture or thermal motion is included.

Main lines, most intense first (2θ from 10° to 80°):
(hkl), Position (°2θ), I/Imax
1 1 2, 38.86, 100
1 0 2, 27.43, 94
0 0 2, 19.61, 94
1 1 4, 52.79, 80
1 1 0, 33.21, 74
1 0 0, 18.99, 63
1 0 1, 21.40, 54
3 0 0, 59.33, 28
2 0 2, 43.59, 27
0 0 4, 39.83, 26
2 1 2, 55.87, 26
3 0 2, 63.12, 24

Atomic structure:
```
data_PuMgMoO6
_space_group_name_H-M_alt 'P -3 1 c'
_space_group_IT_number 163
_space_group_name_Hall '-P 3 2c'
_cell_length_a 5.3960
_cell_length_b 5.3960
_cell_length_c 9.0559
_cell_angle_alpha 90.00
_cell_angle_beta 90.00
_cell_angle_gamma 120.00
loop_
_atom_site_label
_atom_site_type_symbol
_atom_site_fract_x
_atom_site_fract_y
_atom_site_fract_z
Pu1 Pu 0.3333 0.6667 0.2500
Mg1 Mg 0.0000 0.0000 0.0000
Mo1 Mo 0.3333 0.6667 0.7500
O1 O 0.0224 0.3549 0.6313
```